Computed powder XRD pattern
Compound: CsTa5Se8
Radiation: Cu Kα (weighted mean of Kα1 and Kα2)
Structure: the PBE geometry in Alexandria

The 10 most intense peaks (10° ≤ 2θ ≤ 90°), sorted by position:
- 10.23°, I 100
- 17.18°, I 31
- 18.46°, I 16
- 32.42°, I 22
- 33.70°, I 15
- 34.76°, I 17
- 36.87°, I 26
- 37.74°, I 20
- 38.47°, I 14
- 44.59°, I 23

Unit cell a=10.5525 b=10.5525 c=10.3966 alpha=112.10 beta=112.10 gamma=18.86
Positions (direct):
Cs 0.0000 0.0000 0.0000
Ta 0.1247 0.1247 0.5466
Ta 0.2058 0.2058 0.8816
Ta 0.5000 0.5000 0.5000
Ta 0.7942 0.7942 0.1184
Ta 0.8753 0.8753 0.4534
Se 0.0632 0.0632 0.7105
Se 0.2779 0.2779 0.3074
Se 0.3395 0.3395 0.9840
Se 0.4136 0.4136 0.6496
Se 0.5864 0.5864 0.3504
Se 0.6605 0.6605 0.0160
Se 0.7221 0.7221 0.6926
Se 0.9368 0.9368 0.2895

Computed powder XRD pattern
Compound: CsTbSe4
Radiation: Cu Kα (weighted mean of Kα1 and Kα2)
Structure: the PBE geometry in Alexandria

The 10 most intense peaks (10° ≤ 2θ ≤ 90°), sorted by position:
- 19.83°, I 17
- 27.99°, I 100
- 28.19°, I 19
- 33.14°, I 42
- 34.54°, I 39
- 37.43°, I 16
- 44.75°, I 14
- 45.16°, I 14
- 45.30°, I 38
- 62.10°, I 18

Unit cell a=6.3309 b=6.3309 c=9.0823 alpha=90.00 beta=90.00 gamma=90.00
Positions (direct):
Cs 0.2500 0.2500 0.0000
Cs 0.7500 0.7500 0.0000
Tb 0.2500 0.2500 0.5000
Tb 0.7500 0.7500 0.5000
Se 0.1139 0.6139 0.3102
Se 0.1139 0.8861 0.6898
Se 0.3861 0.6139 0.6898
Se 0.3861 0.8861 0.3102
Se 0.6139 0.1139 0.6898
Se 0.6139 0.3861 0.3102
Se 0.8861 0.1139 0.3102
Se 0.8861 0.3861 0.6898

Computed powder XRD pattern
Compound: CsTb5Se8
Radiation: Cu Kα (weighted mean of Kα1 and Kα2)
Structure: the PBE geometry in Alexandria

The 10 most intense peaks (10° ≤ 2θ ≤ 90°), sorted by position:
- 17.25°, I 27
- 17.88°, I 20
- 27.58°, I 100
- 28.91°, I 44
- 32.69°, I 22
- 34.53°, I 53
- 35.10°, I 25
- 39.40°, I 36
- 43.34°, I 34
- 43.83°, I 61

Unit cell a=10.8971 b=10.8971 c=10.2331 alpha=103.95 beta=103.95 gamma=22.09
Positions (direct):
Cs 0.0000 0.0000 0.0000
Tb 0.1563 0.1563 0.4542
Tb 0.2037 0.2037 0.8407
Tb 0.5002 0.5002 0.4996
Tb 0.7966 0.7966 0.1587
Tb 0.8441 0.8441 0.5452
Se 0.0784 0.0784 0.6487
Se 0.2703 0.2703 0.3524
Se 0.3313 0.3313 0.0063
Se 0.4184 0.4184 0.6879
Se 0.5820 0.5820 0.3115
Se 0.6690 0.6690 0.9931
Se 0.7300 0.7300 0.6471
Se 0.9220 0.9220 0.3506